Diffraction record for Ba2Cr7O14. The X-ray powder pattern is calculated, not measured: it uses a crystal structure in Alexandria, relaxed with PBE+U and Cu Ka.
Lines closer than 0.1° are merged.

Crystal structure
Lattice parameters (Å, degrees): 9.9478 9.9478 9.9478 34.42 34.42 34.42
Fractional positions:
1 Ba 0.2110 0.2110 0.2110
2 Ba 0.7890 0.7890 0.7890
3 Cr 0.0000 0.5000 0.5000
4 Cr 0.0726 0.0726 0.0726
5 Cr 0.4380 0.4380 0.4380
6 Cr 0.5000 0.0000 0.5000
7 Cr 0.5000 0.5000 0.0000
8 Cr 0.5620 0.5620 0.5620
9 Cr 0.9274 0.9274 0.9274
10 O 0.1354 0.1354 0.6132
11 O 0.1354 0.6132 0.1354
12 O 0.2067 0.7191 0.7191
13 O 0.2809 0.2809 0.7933
14 O 0.2809 0.7933 0.2809
15 O 0.3708 0.3708 0.3708
16 O 0.3868 0.8646 0.8646
17 O 0.6132 0.1354 0.1354
18 O 0.6292 0.6292 0.6292
19 O 0.7191 0.2067 0.7191
20 O 0.7191 0.7191 0.2067
21 O 0.7933 0.2809 0.2809
22 O 0.8646 0.3868 0.8646
23 O 0.8646 0.8646 0.3868

Largest 12 diffraction maxima, sorted by position, 5 to 70 degrees two-theta:
| 2θ/deg | d_spacing | I (rel.) |
| --- | --- | --- |
| 18.52 | 4.791 | 29 |
| 28.33 | 3.150 | 63 |
| 28.64 | 3.116 | 47 |
| 30.37 | 2.943 | 100 |
| 30.96 | 2.889 | 76 |
| 31.88 | 2.807 | 60 |
| 36.06 | 2.491 | 49 |
| 38.81 | 2.321 | 99 |
| 42.01 | 2.151 | 24 |
| 54.33 | 1.689 | 29 |
| 58.61 | 1.575 | 46 |
| 63.18 | 1.472 | 49 |